1.
The following is a theoretical powder diffraction line list of Rb2MoBr6. It was derived from a cell relaxed with GGA-PBE, using copper Kα.
Intensities are scaled so that the largest is 1000.

Most intense lines, 2θ from 5° to 70°, sorted by position:
| hkl | two_theta | intensity |
| --- | --- | --- |
| 1 1 1 | 14.28 | 305 |
| 2 0 0 | 16.50 | 79 |
| 2 2 0 | 23.42 | 97 |
| 3 1 1 | 27.53 | 80 |
| 2 2 2 | 28.78 | 1000 |
| 4 0 0 | 33.36 | 913 |
| 5 1 1 | 43.78 | 95 |
| 4 4 0 | 47.89 | 630 |
| 6 2 2 | 56.84 | 402 |
| 4 4 4 | 59.62 | 212 |

Crystal structure
Lattice parameters (Å, degrees): 10.744 10.744 10.744 90.00 90.00 90.00
Space group Fm-3m (No. 225)
One atom of each set of equivalent atoms:
Rb 0.250 0.250 0.250 x8
Mo 0.000 0.000 0.000 x4
Br 0.000 0.000 0.238 x24



2.
The following is a theoretical powder diffraction line list of La8Bi2Ir3. It was derived from a cell relaxed with GGA-PBE, using copper Kα.
Intensities are scaled so that the largest is 1000.

Most intense lines, 2θ from 5° to 70°, sorted by position:
| hkl | two_theta | intensity |
| --- | --- | --- |
| 2 0 0 | 11.05 | 416 |
| 1 1 1 | 18.56 | 349 |
| 3 1 -1 | 20.83 | 249 |
| 2 2 -1 | 25.67 | 383 |
| 2 0 2 | 30.74 | 525 |
| 4 2 -1 | 30.97 | 1000 |
| 4 2 1 | 35.91 | 283 |
| 2 2 -3 | 43.22 | 785 |
| 6 2 1 | 45.14 | 200 |
| 2 4 2 | 53.92 | 213 |

Crystal structure
Lattice parameters (Å, degrees): 16.672 8.384 7.244 90.00 106.15 90.00
Space group C2/m (No. 12)
One atom of each set of equivalent atoms:
La 0.096 0.000 0.407 x4
La 0.099 0.500 0.400 x4
La 0.103 0.261 0.896 x8
Bi 0.243 0.000 0.167 x4
Ir 0.000 0.248 0.500 x4
Ir 0.000 0.500 0.000 x2